# PmMg3Cu8
Computed powder diffractogram, Cu Kα X-rays. Input: the GGA-PBE geometry in Alexandria.
No peak broadening, texture or thermal motion is included.

Peak list (10 most intense, 5 to 70 degrees two-theta, sorted by position)
2θ = 10.61°, I 23, (0 0 3); 2θ = 20.58°, I 24, (1 0 1); 2θ = 21.49°, I 31, (0 1 2); 2θ = 41.57°, I 53, (1 0 10); 2θ = 41.77°, I 100, (1 1 6); 2θ = 41.87°, I 52, (2 0 2); 2θ = 43.41°, I 24, (0 0 12); 2θ = 43.79°, I 74, (0 2 4); 2θ = 67.89°, I 23, (2 1 10); 2θ = 68.03°, I 22, (3 0 6)

Atomic structure:
```
data_PmMg3Cu8
_chemical_formula_sum 'Pm3 Mg9 Cu24'
_symmetry_space_group_name_H-M 'R 3 m'
_symmetry_Int_Tables_number 160
_symmetry_space_group_name_Hall 'R 3 -2"'
_cell_length_a 5.0581
_cell_length_b 5.0581
_cell_length_c 25.0164
_cell_angle_alpha 90.00
_cell_angle_beta 90.00
_cell_angle_gamma 120.00
loop_
_atom_site_label
_atom_site_type_symbol
_atom_site_fract_x
_atom_site_fract_y
_atom_site_fract_z
Pm1 Pm 0.0000 0.0000 0.0000
Mg1 Mg 0.0000 0.0000 0.3852
Mg2 Mg 0.0000 0.0000 0.5039
Mg3 Mg 0.0000 0.0000 0.8714
Cu1 Cu 0.0000 0.0000 0.1883
Cu2 Cu 0.0000 0.0000 0.6898
Cu3 Cu 0.9997 0.4999 0.9361
Cu4 Cu 0.0021 0.5010 0.4404
```

***

# Ac3TlS4
Computed powder diffractogram, Cu Kα X-rays. Input: the GGA-PBE geometry in Alexandria.
No peak broadening, texture or thermal motion is included.

Peak list (8 most intense, 5 to 70 degrees two-theta, sorted by position)
2θ = 25.19°, I 100, (1 1 1); 2θ = 29.17°, I 100, (2 0 0); 2θ = 41.73°, I 76, (2 2 0); 2θ = 49.37°, I 53, (3 1 1); 2θ = 51.72°, I 27, (2 2 2); 2θ = 60.48°, I 13, (4 0 0); 2θ = 66.58°, I 22, (3 3 1); 2θ = 68.54°, I 35, (4 2 0)

Atomic structure:
```
data_Ac3TlS4
_chemical_formula_sum 'Ac3 Tl1 S4'
_symmetry_space_group_name_H-M 'P m -3 m'
_symmetry_Int_Tables_number 221
_symmetry_space_group_name_Hall '-P 4 2 3'
_cell_length_a 6.1226
_cell_length_b 6.1226
_cell_length_c 6.1226
_cell_angle_alpha 90.00
_cell_angle_beta 90.00
_cell_angle_gamma 90.00
loop_
_atom_site_label
_atom_site_type_symbol
_atom_site_fract_x
_atom_site_fract_y
_atom_site_fract_z
Ac1 Ac 0.0000 0.0000 0.5000
Tl1 Tl 0.5000 0.5000 0.5000
S1 S 0.0000 0.0000 0.0000
S2 S 0.0000 0.5000 0.5000
```

***

# Nd3GaRu
Computed powder diffractogram, Cu Kα X-rays. Input: the GGA-PBE geometry in Alexandria.
No peak broadening, texture or thermal motion is included.

Peak list (10 most intense, 5 to 70 degrees two-theta, sorted by position)
2θ = 26.85°, I 35, (2 0 0); 2θ = 28.79°, I 25, (0 2 4); 2θ = 31.14°, I 100, (1 3 1); 2θ = 32.26°, I 87, (1 1 5); 2θ = 34.53°, I 100, (2 2 2); 2θ = 35.03°, I 97, (2 0 4); 2θ = 38.33°, I 54, (0 2 6); 2θ = 39.77°, I 44, (2 2 4); 2θ = 52.88°, I 23, (3 3 3); 2θ = 56.95°, I 44, (1 5 5)

Atomic structure:
```
data_Nd3GaRu
_chemical_formula_sum 'Nd24 Ga8 Ru8'
_symmetry_space_group_name_H-M 'F m m m'
_symmetry_Int_Tables_number 69
_symmetry_space_group_name_Hall '-F 2 2'
_cell_length_a 6.6415
_cell_length_b 9.7478
_cell_length_c 16.0807
_cell_angle_alpha 90.00
_cell_angle_beta 90.00
_cell_angle_gamma 90.00
loop_
_atom_site_label
_atom_site_type_symbol
_atom_site_fract_x
_atom_site_fract_y
_atom_site_fract_z
Nd1 Nd 0.0000 0.0000 0.1964
Nd2 Nd 0.0000 0.1897 0.3964
Ga1 Ga 0.1898 0.0000 0.0000
Ru1 Ru 0.2500 0.2500 0.2500
```

***

# Tm7Hg3
Computed powder diffractogram, Cu Kα X-rays. Input: the GGA-PBE geometry in Alexandria.
No peak broadening, texture or thermal motion is included.

Peak list (10 most intense, 5 to 70 degrees two-theta, sorted by position)
2θ = 29.16°, I 31, (1 0 2); 2θ = 30.65°, I 82, (2 1 1); 2θ = 31.14°, I 24, (3 0 0); 2θ = 34.08°, I 100, (3 0 1); 2θ = 34.39°, I 80, (2 0 2); 2θ = 36.11°, I 57, (2 2 0); 2θ = 38.99°, I 30, (2 1 2); 2θ = 50.49°, I 23, (4 1 1); 2θ = 63.47°, I 28, (3 2 3); 2θ = 69.63°, I 24, (5 2 1)

Atomic structure:
```
data_Tm7Hg3
_chemical_formula_sum 'Tm14 Hg6'
_symmetry_space_group_name_H-M 'P 63 m c'
_symmetry_Int_Tables_number 186
_symmetry_space_group_name_Hall 'P 6c -2c'
_cell_length_a 9.9507
_cell_length_b 9.9507
_cell_length_c 6.5524
_cell_angle_alpha 90.00
_cell_angle_beta 90.00
_cell_angle_gamma 120.00
loop_
_atom_site_label
_atom_site_type_symbol
_atom_site_fract_x
_atom_site_fract_y
_atom_site_fract_z
Tm1 Tm 0.0622 0.5311 0.0000
Tm2 Tm 0.1282 0.2563 0.7277
Tm3 Tm 0.3333 0.6667 0.5839
Hg1 Hg 0.1991 0.3981 0.2879
```

***

# ScBi2Pb
Computed powder diffractogram, Cu Kα X-rays. Input: the GGA-PBE geometry in Alexandria.
No peak broadening, texture or thermal motion is included.

Peak list (10 most intense, 5 to 70 degrees two-theta, sorted by position)
2θ = 23.71°, I 12, (1 0 1); 2θ = 28.23°, I 100, (1 0 4); 2θ = 30.64°, I 17, (0 1 5); 2θ = 39.58°, I 36, (0 1 8); 2θ = 41.09°, I 39, (1 1 0); 2θ = 50.60°, I 21, (0 2 4); 2θ = 55.43°, I 12, (1 1 9); 2θ = 58.38°, I 12, (2 0 8); 2θ = 65.01°, I 15, (1 1 12); 2θ = 67.15°, I 18, (2 1 4)

Atomic structure:
```
data_ScBi2Pb
_chemical_formula_sum 'Sc3 Bi6 Pb3'
_symmetry_space_group_name_H-M 'R -3 m'
_symmetry_Int_Tables_number 166
_symmetry_space_group_name_Hall '-R 3 2"'
_cell_length_a 4.3930
_cell_length_b 4.3930
_cell_length_c 22.7350
_cell_angle_alpha 90.00
_cell_angle_beta 90.00
_cell_angle_gamma 120.00
loop_
_atom_site_label
_atom_site_type_symbol
_atom_site_fract_x
_atom_site_fract_y
_atom_site_fract_z
Sc1 Sc 0.0000 0.0000 0.0000
Bi1 Bi 0.0000 0.0000 0.2607
Pb1 Pb 0.0000 0.0000 0.5000
```

***

# Tb7Sm2Th4
Computed powder diffractogram, Cu Kα X-rays. Input: the GGA-PBE geometry in Alexandria.
No peak broadening, texture or thermal motion is included.

Peak list (10 most intense, 5 to 70 degrees two-theta, sorted by position)
2θ = 12.14°, I 38, (1 0 0); 2θ = 30.68°, I 100, (-1 2 1); 2θ = 31.08°, I 97, (2 -1 2); 2θ = 31.22°, I 95, (1 1 -2); 2θ = 31.62°, I 93, (2 2 1); 2θ = 35.52°, I 68, (1 1 3); 2θ = 35.86°, I 66, (0 3 -1); 2θ = 36.99°, I 61, (3 0 0); 2θ = 51.36°, I 48, (1 4 2); 2θ = 51.72°, I 47, (-2 1 3)

Atomic structure:
```
data_Tb7Sm2Th4
_chemical_formula_sum 'Tb7 Sm2 Th4'
_symmetry_space_group_name_H-M 'P -1'
_symmetry_Int_Tables_number 2
_symmetry_space_group_name_Hall '-P 1'
_cell_length_a 7.6748
_cell_length_b 7.9310
_cell_length_c 7.9861
_cell_angle_alpha 89.66
_cell_angle_beta 72.34
_cell_angle_gamma 85.59
loop_
_atom_site_label
_atom_site_type_symbol
_atom_site_fract_x
_atom_site_fract_y
_atom_site_fract_z
Tb1 Tb 0.0000 0.0000 0.0000
Tb2 Tb 0.3242 0.6593 0.0087
Tb3 Tb 0.3372 0.8650 0.5997
Tb4 Tb 0.3378 0.4651 0.4005
Sm1 Sm 0.0036 0.1901 0.5929
Th1 Th 0.3337 0.0737 0.1920
Th2 Th 0.3422 0.2603 0.7998
```

***

# SmDy2Ho2Tm
Computed powder diffractogram, Cu Kα X-rays. Input: the GGA-PBE geometry in Alexandria.
No peak broadening, texture or thermal motion is included.

Peak list (10 most intense, 5 to 70 degrees two-theta, sorted by position)
2θ = 28.12°, I 44, (2 2 0); 2θ = 30.61°, I 100, (0 3 1); 2θ = 33.44°, I 37, (0 6 0); 2θ = 34.23°, I 49, (2 4 0); 2θ = 37.08°, I 61, (2 1 1); 2θ = 46.57°, I 14, (2 5 1); 2θ = 54.76°, I 31, (2 7 1); 2θ = 58.02°, I 13, (0 9 1); 2θ = 62.48°, I 26, (4 3 1); 2θ = 64.19°, I 27, (4 6 0)

Atomic structure:
```
data_SmDy2Ho2Tm
_chemical_formula_sum 'Sm2 Dy4 Ho4 Tm2'
_symmetry_space_group_name_H-M 'P n n m'
_symmetry_Int_Tables_number 58
_symmetry_space_group_name_Hall '-P 2 2n'
_cell_length_a 6.9074
_cell_length_b 16.0764
_cell_length_c 3.4841
_cell_angle_alpha 90.00
_cell_angle_beta 90.00
_cell_angle_gamma 90.00
loop_
_atom_site_label
_atom_site_type_symbol
_atom_site_fract_x
_atom_site_fract_y
_atom_site_fract_z
Sm1 Sm 0.0000 0.0000 0.0000
Dy1 Dy 0.2490 0.3431 0.0000
Ho1 Ho 0.2500 0.1558 0.5000
Tm1 Tm 0.0000 0.5000 0.5000
```

***

# Pa2InS5
Computed powder diffractogram, Cu Kα X-rays. Input: the GGA-PBE geometry in Alexandria.
No peak broadening, texture or thermal motion is included.

Peak list (10 most intense, 5 to 70 degrees two-theta, sorted by position)
2θ = 23.58°, I 64, (2 0 0); 2θ = 25.57°, I 100, (1 3 0); 2θ = 27.37°, I 52, (1 1 1); 2θ = 27.97°, I 39, (0 2 1); 2θ = 34.96°, I 51, (1 3 1); 2θ = 36.90°, I 64, (2 2 1); 2θ = 42.69°, I 36, (3 3 0); 2θ = 46.96°, I 33, (1 5 1); 2θ = 52.53°, I 23, (2 6 0); 2θ = 55.12°, I 26, (1 3 2)

Atomic structure:
```
data_Pa2InS5
_chemical_formula_sum 'Pa4 In2 S10'
_symmetry_space_group_name_H-M 'P b a m'
_symmetry_Int_Tables_number 55
_symmetry_space_group_name_Hall '-P 2 2ab'
_cell_length_a 7.5450
_cell_length_b 11.7826
_cell_length_c 3.7950
_cell_angle_alpha 90.00
_cell_angle_beta 90.00
_cell_angle_gamma 90.00
loop_
_atom_site_label
_atom_site_type_symbol
_atom_site_fract_x
_atom_site_fract_y
_atom_site_fract_z
Pa1 Pa 0.0206 0.1737 0.0000
In1 In 0.0000 0.5000 0.5000
S1 S 0.0000 0.0000 0.5000
S2 S 0.1671 0.3947 0.0000
S3 S 0.1869 0.6976 0.5000
```